1.
Theoretical powder XRD pattern of MgZn5 for copper Kα, from a DFT-relaxed cell (GGA-PBE, the Materials Project).
Lines closer than 0.1° are merged.

Peak list (10 most intense, 2θ = 10–90°, in order of rising 2θ)
2θ = 12.07°, I 15
2θ = 36.13°, I 26
2θ = 39.45°, I 38
2θ = 41.34°, I 100
2θ = 41.93°, I 49
2θ = 54.55°, I 15
2θ = 65.83°, I 15
2θ = 72.83°, I 17
2θ = 79.53°, I 17
2θ = 79.98°, I 13

Crystal structure
```
6
Lattice="4.569 0.000 0.000 0.000 1.444 7.330 0.000 -1.444 7.330" Properties=species:S:1:pos:R:3 pbc="T T T"
Mg 0.000 0.000 0.000
Zn 0.000 0.000 4.837
Zn 0.000 0.000 9.844
Zn 2.284 0.000 1.672
Zn 2.284 0.000 6.450
Zn 2.284 0.000 11.392
```

***

2.
Theoretical powder XRD pattern of Ho2Mg for copper Kα, from a DFT-relaxed cell (GGA-PBE, the Materials Project).
Lines closer than 0.1° are merged.

Peak list (10 most intense, 2θ = 10–90°, in order of rising 2θ)
2θ = 10.24°, I 22
2θ = 25.06°, I 18
2θ = 26.33°, I 27
2θ = 31.07°, I 20
2θ = 32.87°, I 30
2θ = 33.49°, I 100
2θ = 35.26°, I 19
2θ = 44.41°, I 14
2θ = 45.86°, I 14
2θ = 59.08°, I 20

Crystal structure
```
6
Lattice="1.816 -8.636 0.000 1.816 8.636 0.000 0.000 0.000 5.450" Properties=species:S:1:pos:R:3 pbc="T T T"
Ho 1.816 6.985 4.087
Ho 1.816 4.733 1.362
Ho 1.816 -4.733 4.087
Ho 1.816 -6.985 1.362
Mg 1.816 1.102 4.087
Mg 1.816 -1.102 1.362
```